No. 1
Diffraction record for KNpO3. The X-ray powder pattern is calculated, not measured: it uses DFT lattice parameters and positions (PBE) and Cu Kα, 1.54184 Å.
Kinematic intensities with the Lorentz-polarization factor, no thermal factor.

The 8 most intense peaks (2θ from 10° to 90°), sorted by position:
Position (°2θ)	Rel. int.
20.7	76
29.4	100
42.0	30
47.3	37
52.1	42
61.0	19
69.1	18
84.3	22

Crystal structure
```
data_KNpO3
_chemical_formula_sum 'K1 Np1 O3'
_space_group_name_H-M_alt 'P m -3 m'
_space_group_IT_number 221
_space_group_name_Hall '-P 4 2 3'
_cell_length_a 4.298
_cell_length_b 4.298
_cell_length_c 4.298
_cell_angle_alpha 90.00
_cell_angle_beta 90.00
_cell_angle_gamma 90.00
loop_
_atom_site_label
_atom_site_fract_x
_atom_site_fract_y
_atom_site_fract_z
K1 0.000 0.000 0.000
Np1 0.500 0.500 0.500
O1 0.000 0.500 0.500
```

***

No. 2
Diffraction record for SiO2. The X-ray powder pattern is calculated, not measured: it uses DFT lattice parameters and positions (PBE) and Cu Kα, 1.54184 Å.
Kinematic intensities with the Lorentz-polarization factor, no thermal factor.

The 8 most intense peaks (2θ from 10° to 90°), sorted by position:
Position (°2θ)	Rel. int.
21.3	100
23.6	78
28.0	15
32.0	78
37.8	13
40.5	38
49.9	15
53.3	21

Crystal structure
```
data_SiO2
_chemical_formula_sum 'Si12 O24'
_space_group_name_H-M_alt 'P 6 2 2'
_space_group_IT_number 177
_space_group_name_Hall 'P 6 2'
_cell_length_a 12.7469
_cell_length_b 12.7469
_cell_length_c 3.7751
_cell_angle_alpha 90.00
_cell_angle_beta 90.00
_cell_angle_gamma 120.00
loop_
_atom_site_label
_atom_site_fract_x
_atom_site_fract_y
_atom_site_fract_z
Si1 0.1419 0.4553 0.3454
O1 0.0000 0.3861 0.5000
O2 0.1790 0.3579 0.5000
O3 0.1831 0.5916 0.5000
O4 0.2456 0.4912 0.0000
```

***

No. 3
Diffraction record for Sr3ZrTi2O9. The X-ray powder pattern is calculated, not measured: it uses DFT lattice parameters and positions (PBE) and Cu Kα, 1.54184 Å.
Kinematic intensities with the Lorentz-polarization factor, no thermal factor.

The 8 most intense peaks (2θ from 10° to 90°), sorted by position:
Position (°2θ)	Rel. int.
31.4	100
31.6	53
44.8	20
45.3	37
55.9	20
56.1	40
65.6	22
74.9	16

Crystal structure
```
data_Sr3ZrTi2O9
_chemical_formula_sum 'Sr12 Zr4 Ti8 O36'
_space_group_name_H-M_alt 'C 1 2/m 1'
_space_group_IT_number 12
_cell_length_a 8.016
_cell_length_b 8.087
_cell_length_c 12.671
_cell_angle_alpha 90.00
_cell_angle_beta 108.40
_cell_angle_gamma 90.00
loop_
_space_group_symop_operation_xyz
'x,y,z'
'-x,-y,-z'
'-x,y,-z'
'x,-y,z'
'x+1/2,y+1/2,z'
'-x+1/2,-y+1/2,-z'
'-x+1/2,y+1/2,-z'
'x+1/2,-y+1/2,z'
loop_
_atom_site_label
_atom_site_fract_x
_atom_site_fract_y
_atom_site_fract_z
Sr1 0.000 0.249 0.000
Sr2 0.171 0.250 0.340
Zr1 0.166 0.500 0.834
Ti1 0.000 0.000 0.500
Ti2 0.000 0.500 0.500
Ti3 0.165 0.000 0.828
O1 0.000 0.250 0.500
O2 0.050 0.000 0.663
O3 0.064 0.000 0.145
O4 0.105 0.500 0.194
O5 0.112 0.500 0.659
O6 0.165 0.242 0.831
O7 0.216 0.500 0.006
O8 0.241 0.500 0.481
```

***

No. 4
Diffraction record for Ca4SN4. The X-ray powder pattern is calculated, not measured: it uses DFT lattice parameters and positions (PBE) and Cu Kα, 1.54184 Å.
Kinematic intensities with the Lorentz-polarization factor, no thermal factor.

The 8 most intense peaks (2θ from 10° to 90°), sorted by position:
Position (°2θ)	Rel. int.
29.5	84
31.8	52
31.8	50
33.0	100
36.0	49
37.8	29
45.7	34
47.2	26

Crystal structure
```
data_Ca4SN4
_chemical_formula_sum 'Ca8 S2 N8'
_space_group_name_H-M_alt 'P -1'
_space_group_IT_number 2
_cell_length_a 6.207
_cell_length_b 6.227
_cell_length_c 8.635
_cell_angle_alpha 69.70
_cell_angle_beta 83.25
_cell_angle_gamma 73.43
loop_
_space_group_symop_operation_xyz
'x,y,z'
'-x,-y,-z'
loop_
_atom_site_label
_atom_site_fract_x
_atom_site_fract_y
_atom_site_fract_z
Ca1 0.010 0.288 0.421
Ca2 0.101 0.822 0.158
Ca3 0.305 0.305 0.999
Ca4 0.488 0.234 0.573
S1 0.287 0.814 0.802
N1 0.053 0.736 0.882
N2 0.242 0.562 0.397
N3 0.256 0.942 0.607
N4 0.322 0.007 0.882
```

***

No. 5
Diffraction record for SO3. The X-ray powder pattern is calculated, not measured: it uses DFT lattice parameters and positions (PBE) and Cu Kα, 1.54184 Å.
Kinematic intensities with the Lorentz-polarization factor, no thermal factor.

The 8 most intense peaks (2θ from 10° to 90°), sorted by position:
Position (°2θ)	Rel. int.
14.6	82
19.4	100
19.9	88
25.8	72
29.3	19
29.4	77
35.5	19
36.3	34

Crystal structure
```
data_SO3
_chemical_formula_sum 'S4 O12'
_space_group_name_H-M_alt 'P 1 21/c 1'
_space_group_IT_number 14
_cell_length_a 6.481
_cell_length_b 4.179
_cell_length_c 9.746
_cell_angle_alpha 90.00
_cell_angle_beta 110.07
_cell_angle_gamma 90.00
loop_
_space_group_symop_operation_xyz
'x,y,z'
'-x,-y,-z'
'-x,y+1/2,-z+1/2'
'x,-y+1/2,z+1/2'
loop_
_atom_site_label
_atom_site_fract_x
_atom_site_fract_y
_atom_site_fract_z
S1 0.171 0.025 0.292
O1 0.004 0.226 0.674
O2 0.270 0.181 0.428
O3 0.282 0.631 0.709
```

***

Q: Which formula does entry 3 have?
A: Sr3ZrTi2O9

***

Copy entry 1 word for word.
Diffraction record for KNpO3. The X-ray powder pattern is calculated, not measured: it uses DFT lattice parameters and positions (PBE) and Cu Kα, 1.54184 Å.
Kinematic intensities with the Lorentz-polarization factor, no thermal factor.

The 8 most intense peaks (2θ from 10° to 90°), sorted by position:
Position (°2θ)	Rel. int.
20.7	76
29.4	100
42.0	30
47.3	37
52.1	42
61.0	19
69.1	18
84.3	22

Crystal structure
```
data_KNpO3
_chemical_formula_sum 'K1 Np1 O3'
_space_group_name_H-M_alt 'P m -3 m'
_space_group_IT_number 221
_space_group_name_Hall '-P 4 2 3'
_cell_length_a 4.298
_cell_length_b 4.298
_cell_length_c 4.298
_cell_angle_alpha 90.00
_cell_angle_beta 90.00
_cell_angle_gamma 90.00
loop_
_atom_site_label
_atom_site_fract_x
_atom_site_fract_y
_atom_site_fract_z
K1 0.000 0.000 0.000
Np1 0.500 0.500 0.500
O1 0.000 0.500 0.500
```